Computed X-ray diffraction stick pattern of Tb6IrBr10 for λ = 1.5418 Å (Cu Kα), from DFT lattice parameters and positions (GGA-PBE).
Kinematic intensities with the Lorentz-polarization factor, no thermal factor.

Peak list (10 most intense, 10 to 90 degrees two-theta, in order of rising 2θ)
- hkl 0 0 1, 10.4 deg, intensity 82
- hkl 0 1 0, 10.7 deg, intensity 78
- hkl 0 1 -1, 11.9 deg, intensity 41
- hkl 1 0 0, 12.8 deg, intensity 37
- hkl 2 0 1, 30.0 deg, intensity 100
- hkl 1 1 -3, 30.5 deg, intensity 96
- hkl 1 -3 0, 30.7 deg, intensity 95
- hkl 3 1 -2, 42.8 deg, intensity 41
- hkl 1 -1 4, 43.8 deg, intensity 69
- hkl 1 3 1, 44.5 deg, intensity 35

Structure:
abc: 7.412 9.231 9.234
angles: 108.50 97.21 105.89
Atoms (fractional coordinates):
Tb (0.023, 0.197, 0.403)
Tb (0.125, 0.544, 0.251)
Tb (0.369, 0.643, 0.683)
Tb (0.631, 0.357, 0.317)
Tb (0.875, 0.456, 0.749)
Tb (0.977, 0.803, 0.597)
Ir (0.000, 0.500, 0.500)
Br (0.088, 0.870, 0.327)
Br (0.203, 0.235, 0.144)
Br (0.257, 0.585, 0.960)
Br (0.364, 0.964, 0.777)
Br (0.449, 0.322, 0.585)
Br (0.551, 0.678, 0.415)
Br (0.636, 0.036, 0.223)
Br (0.743, 0.415, 0.040)
Br (0.797, 0.765, 0.856)
Br (0.912, 0.130, 0.673)